Simulated powder diffraction line list
Compound: Na5B8C2
Radiation: Cu Kα X-rays
Structure: DFT lattice parameters and positions (PBE)
No peak broadening, texture or thermal motion is included.

Largest 8 diffraction maxima, sorted by position, 2θ = 5–70°:
- 2θ 34.1, I = 12, (0 0 10)
- 2θ 35.9, I = 18, (0 1 5)
- 2θ 40.2, I = 51, (2 0 10)
- 2θ 41.7, I = 100, (2 1 5)
- 2θ 41.9, I = 37, (4 0 0)
- 2θ 56.4, I = 10, (4 1 5)
- 2θ 62.2, I = 18, (0 1 15)
- 2θ 65.6, I = 8, (0 2 0)

Cell and atoms:
```
data_Na5B8C2
_chemical_formula_sum 'Na20 B32 C8'
_cell_length_a 8.617
_cell_length_b 2.846
_cell_length_c 26.273
_cell_angle_alpha 90.00
_cell_angle_beta 90.00
_cell_angle_gamma 90.00
_symmetry_space_group_name_H-M 'A m m 2'
_symmetry_Int_Tables_number 38
_symmetry_space_group_name_Hall 'A 2 -2'
loop_
_atom_site_label
_atom_site_type_symbol
_atom_site_fract_x
_atom_site_fract_y
_atom_site_fract_z
Na1 Na 0.246 0.000 0.000
Na2 Na 0.246 0.000 0.400
Na3 Na 0.247 0.000 0.600
Na4 Na 0.249 0.000 0.201
Na5 Na 0.250 0.000 0.801
B1 B 0.000 0.000 0.064
B2 B 0.000 0.000 0.134
B3 B 0.000 0.000 0.267
B4 B 0.000 0.000 0.470
B5 B 0.000 0.000 0.674
B6 B 0.000 0.000 0.861
B7 B 0.000 0.000 0.931
B8 B 0.500 0.000 0.065
B9 B 0.500 0.000 0.128
B10 B 0.500 0.000 0.271
B11 B 0.500 0.000 0.336
B12 B 0.500 0.000 0.526
B13 B 0.500 0.000 0.669
B14 B 0.500 0.000 0.732
B15 B 0.500 0.000 0.872
B16 B 0.500 0.000 0.938
C1 C 0.000 0.000 0.330
C2 C 0.000 0.000 0.533
C3 C 0.000 0.000 0.736
C4 C 0.500 0.000 0.467
```

=====

Simulated powder diffraction line list
Compound: Na5B8C2
Radiation: Cu Kα X-rays
Structure: DFT lattice parameters and positions (PBE)
No peak broadening, texture or thermal motion is included.

Largest 8 diffraction maxima, sorted by position, 2θ = 5–70°:
- 2θ 34.1, I = 10, (6 0 2)
- 2θ 36.0, I = 12, (3 1 1)
- 2θ 40.1, I = 36, (2 0 4)
- 2θ 41.8, I = 100, (8 0 -4)
- 2θ 56.3, I = 3, (5 1 -5)
- 2θ 56.4, I = 3, (11 1 -3)
- 2θ 62.2, I = 13, (9 1 3)
- 2θ 66.0, I = 6, (0 2 0)

Cell and atoms:
```
data_Na5B8C2
_chemical_formula_sum 'Na20 B32 C8'
_cell_length_a 23.394
_cell_length_b 2.831
_cell_length_c 10.136
_cell_angle_alpha 90.00
_cell_angle_beta 106.26
_cell_angle_gamma 90.00
_symmetry_space_group_name_H-M 'C 1 m 1'
_symmetry_Int_Tables_number 8
_symmetry_space_group_name_Hall 'C -2y'
loop_
_atom_site_label
_atom_site_type_symbol
_atom_site_fract_x
_atom_site_fract_y
_atom_site_fract_z
Na1 Na 0.000 0.000 0.000
Na2 Na 0.000 0.500 0.496
Na3 Na 0.099 0.000 0.694
Na4 Na 0.099 0.500 0.197
Na5 Na 0.199 0.000 0.397
Na6 Na 0.199 0.500 0.898
Na7 Na 0.300 0.000 0.101
Na8 Na 0.301 0.500 0.598
Na9 Na 0.401 0.500 0.300
Na10 Na 0.402 0.000 0.798
B1 B 0.014 0.000 0.275
B2 B 0.076 0.500 0.900
B3 B 0.108 0.500 0.464
B4 B 0.115 0.000 0.980
B5 B 0.176 0.500 0.600
B6 B 0.177 0.000 0.104
B7 B 0.218 0.500 0.186
B8 B 0.220 0.000 0.688
B9 B 0.281 0.500 0.310
B10 B 0.285 0.000 0.817
B11 B 0.321 0.000 0.388
B12 B 0.329 0.500 0.905
B13 B 0.385 0.000 0.517
B14 B 0.420 0.000 0.088
B15 B 0.423 0.500 0.591
B16 B 0.488 0.500 0.723
C1 C 0.017 0.500 0.782
C2 C 0.077 0.000 0.402
C3 C 0.389 0.500 0.023
C4 C 0.482 0.000 0.212
```

=====

Simulated powder diffraction line list
Compound: Na10B17C3
Radiation: Cu Kα X-rays
Structure: DFT lattice parameters and positions (PBE)
No peak broadening, texture or thermal motion is included.

Largest 8 diffraction maxima, sorted by position, 2θ = 5–70°:
- 2θ 33.6, I = 28, (2 0 4)
- 2θ 36.0, I = 33, (1 1 2)
- 2θ 39.5, I = 49, (2 0 -6)
- 2θ 39.7, I = 49, (6 0 2)
- 2θ 41.5, I = 74, (8 0 -4)
- 2θ 41.7, I = 100, (3 1 -4)
- 2θ 41.8, I = 99, (5 1 0)
- 2θ 61.6, I = 36, (3 1 6)

Cell and atoms:
```
data_Na10B17C3
_chemical_formula_sum 'Na20 B34 C6'
_cell_length_a 18.165
_cell_length_b 2.823
_cell_length_c 13.812
_cell_angle_alpha 90.00
_cell_angle_beta 112.25
_cell_angle_gamma 90.00
_symmetry_space_group_name_H-M 'C 1 m 1'
_symmetry_Int_Tables_number 8
_symmetry_space_group_name_Hall 'C -2y'
loop_
_atom_site_label
_atom_site_type_symbol
_atom_site_fract_x
_atom_site_fract_y
_atom_site_fract_z
Na1 Na 0.000 0.000 0.000
Na2 Na 0.000 0.000 0.498
Na3 Na 0.099 0.500 0.698
Na4 Na 0.101 0.500 0.201
Na5 Na 0.198 0.000 0.400
Na6 Na 0.199 0.000 0.900
Na7 Na 0.299 0.500 0.100
Na8 Na 0.299 0.500 0.598
Na9 Na 0.399 0.000 0.798
Na10 Na 0.400 0.000 0.300
B1 B 0.030 0.000 0.811
B2 B 0.064 0.500 0.379
B3 B 0.070 0.500 0.891
B4 B 0.130 0.500 0.511
B5 B 0.133 0.500 0.018
B6 B 0.171 0.000 0.095
B7 B 0.171 0.000 0.591
B8 B 0.236 0.000 0.225
B9 B 0.261 0.500 0.772
B10 B 0.325 0.500 0.400
B11 B 0.327 0.500 0.904
B12 B 0.365 0.000 0.480
B13 B 0.369 0.000 0.989
B14 B 0.427 0.000 0.604
B15 B 0.431 0.000 0.115
B16 B 0.468 0.500 0.686
B17 B 0.474 0.500 0.200
C1 C 0.033 0.000 0.316
C2 C 0.230 0.000 0.711
C3 C 0.266 0.500 0.284
```

=====

Simulated powder diffraction line list
Compound: Na5B9C
Radiation: Cu Kα X-rays
Structure: DFT lattice parameters and positions (PBE)
No peak broadening, texture or thermal motion is included.

Largest 8 diffraction maxima, sorted by position, 2θ = 5–70°:
- 2θ 33.0, I = 31, (6 0 2)
- 2θ 36.0, I = 32, (3 1 1)
- 2θ 39.0, I = 49, (2 0 4)
- 2θ 39.2, I = 48, (10 0 0)
- 2θ 41.4, I = 74, (8 0 -4)
- 2θ 41.6, I = 100, (1 1 -3)
- 2θ 41.7, I = 99, (7 1 -1)
- 2θ 60.9, I = 37, (9 1 3)

Cell and atoms:
```
data_Na5B9C
_chemical_formula_sum 'Na20 B36 C4'
_cell_length_a 23.788
_cell_length_b 2.812
_cell_length_c 10.309
_cell_angle_alpha 90.00
_cell_angle_beta 105.02
_cell_angle_gamma 90.00
_symmetry_space_group_name_H-M 'C 1 2/m 1'
_symmetry_Int_Tables_number 12
_symmetry_space_group_name_Hall '-C 2y'
loop_
_atom_site_label
_atom_site_type_symbol
_atom_site_fract_x
_atom_site_fract_y
_atom_site_fract_z
Na1 Na 0.000 0.000 0.000
Na2 Na 0.000 0.500 0.500
Na3 Na 0.099 0.000 0.699
Na4 Na 0.100 0.500 0.202
Na5 Na 0.200 0.000 0.399
Na6 Na 0.200 0.500 0.899
B1 B 0.017 0.500 0.782
B2 B 0.024 0.000 0.298
B3 B 0.079 0.500 0.907
B4 B 0.088 0.000 0.426
B5 B 0.119 0.000 0.990
B6 B 0.175 0.500 0.601
B7 B 0.181 0.000 0.114
B8 B 0.216 0.000 0.682
B9 B 0.222 0.500 0.196
C1 C 0.118 0.500 0.486
```